Computed powder diffraction line list
Compound: PrY12Ho3
Radiation: Cu Kα
Structure: the GGA-PBE geometry in Alexandria

Structural model:
Unit cell a=5.051 b=5.051 c=20.212 alpha=90.00 beta=90.00 gamma=90.00
Fractional positions:
Pr: 0.000 0.000 0.000
Y: 0.000 0.500 0.127
Y: 0.000 0.500 0.376
Y: 0.000 0.500 0.624
Y: 0.000 0.500 0.873
Y: 0.500 0.000 0.127
Y: 0.500 0.000 0.376
Y: 0.500 0.000 0.624
Y: 0.500 0.000 0.873
Y: 0.500 0.500 0.000
Y: 0.500 0.500 0.252
Y: 0.500 0.500 0.500
Y: 0.500 0.500 0.748
Ho: 0.000 0.000 0.251
Ho: 0.000 0.000 0.500
Ho: 0.000 0.000 0.749

Main lines, most intense first (2θ from 15° to 90°):
2θ = 30.65°, d = 2.917 Å, intensity 100, (1 1 4); 2θ = 35.54°, d = 2.526 Å, intensity 50, (2 0 0); 2θ = 60.82°, d = 1.523 Å, intensity 41, (3 1 4); 2θ = 51.14°, d = 1.786 Å, intensity 35, (2 2 0); 2θ = 83.40°, d = 1.159 Å, intensity 17, (3 3 4); 2θ = 86.08°, d = 1.130 Å, intensity 15, (4 2 0); 2θ = 63.83°, d = 1.458 Å, intensity 12, (2 2 8); 2θ = 17.56°, d = 5.052 Å, intensity 6, (0 0 4); 2θ = 24.93°, d = 3.572 Å, intensity 6, (1 1 0); 2θ = 75.24°, d = 1.263 Å, intensity 5, (4 0 0)